This entry pairs a crystal structure of Sr4ReCl with its theoretical powder X-ray diffraction pattern. Radiation: Cu Kα. Structure: a DFT-relaxed cell (GGA-PBE, Alexandria).
Neutral-atom scattering factors, no anomalous dispersion.

Atomic structure:
```
Sr4ReCl
1.0
0.0000 5.0310 5.0310
5.0310 0.0000 5.0310
5.0310 5.0310 0.0000
Sr Re Cl
4 1 1
Direct
0.3764 0.3764 0.3764 Sr
0.3764 0.3764 0.8708 Sr
0.3764 0.8708 0.3764 Sr
0.8708 0.3764 0.3764 Sr
0.7500 0.7500 0.7500 Re
0.0000 0.0000 0.0000 Cl
```

Top 6 peaks for 2θ = 10–80°, low angle first:
2θ (°)  I (rel.)
25.03  30
29.44  100
30.78  36
46.92  36
51.37  28
72.10  23